Simulated XRD peak list
Compound: Tl2Hg7Bi
Radiation: λ = 1.5418 Å (Cu Kα)
Structure: a structure optimized by DFT (GGA-PBE)
Kinematic intensities with the Lorentz-polarization factor, no thermal factor.

Most intense lines, 2θ = 10–90°, low angle first:
2θ = 28.27°, rel. 55, hkl 1 1 0
2θ = 29.54°, rel. 100, hkl 2 0 -3
2θ = 30.91°, rel. 99, hkl 2 0 2
2θ = 35.54°, rel. 36, hkl 1 1 2
2θ = 38.05°, rel. 54, hkl 1 1 -3
2θ = 38.83°, rel. 56, hkl 4 0 -1
2θ = 39.52°, rel. 55, hkl 3 1 -1
2θ = 47.38°, rel. 31, hkl 0 0 5
2θ = 63.08°, rel. 24, hkl 2 2 -3
2θ = 63.86°, rel. 32, hkl 2 2 2

Crystal structure
```
data_Tl2Hg7Bi
_chemical_formula_sum 'Tl2 Hg7 Bi1'
_cell_length_a 9.283
_cell_length_b 3.375
_cell_length_c 9.980
_cell_angle_alpha 90.00
_cell_angle_beta 106.01
_cell_angle_gamma 90.00
_space_group_name_H-M_alt 'P 1 2/m 1'
_space_group_IT_number 10
_space_group_name_Hall '-P 2y'
loop_
_atom_site_label
_atom_site_fract_x
_atom_site_fract_y
_atom_site_fract_z
Tl1 0.124 0.000 0.388
Hg1 0.000 0.000 0.000
Hg2 0.213 0.000 0.793
Hg3 0.325 0.000 0.189
Hg4 0.405 0.500 0.610
Bi1 0.500 0.500 0.000
```